Simulated powder XRD pattern of Cs3PtI8 for Cu Ka, from a crystal structure in Alexandria, relaxed with PBE.

```
Cs3PtI8
1.0
11.5203 0.0000 0.0000
-5.7602 9.9769 0.0000
0.0000 0.0000 9.9893
Cs Pt I
6 2 16
direct
0.1517 0.3034 0.0000
0.1517 0.8483 0.0000
0.3034 0.1517 0.5000
0.6966 0.8483 0.0000
0.8483 0.1517 0.5000
0.8483 0.6966 0.5000
0.3333 0.6667 0.4337
0.6667 0.3333 0.9337
0.0000 0.0000 0.2493
0.0000 0.0000 0.7493
0.1103 0.5552 0.2804
0.2215 0.4431 0.5903
0.2215 0.7785 0.5903
0.3333 0.6667 0.9258
0.4431 0.2215 0.0903
0.4448 0.5552 0.2804
0.4448 0.8897 0.2804
0.5552 0.1103 0.7804
0.5552 0.4448 0.7804
0.5569 0.7785 0.5903
0.6667 0.3333 0.4258
0.7785 0.2215 0.0903
0.7785 0.5569 0.0903
0.8897 0.4448 0.7804
```

Most intense lines, 2θ = 10–90°, sorted by position:
2theta  Rel. int.
12.5  28
15.4  28
19.9  28
25.2  100
28.3  63
29.7  29
31.1  33
32.3  27
36.0  29
37.1  29
45.4  26
49.2  42

Simulated powder XRD pattern of CsPt2I for Cu Ka, from a crystal structure in Alexandria, relaxed with PBE.

```
CsPt2I
1.0
-2.8368 2.8368 8.6814
2.8368 -2.8368 8.6814
2.8368 2.8368 -8.6814
Cs Pt I
2 4 2
direct
0.3750 0.6250 0.7500
0.6250 0.3750 0.2500
0.0000 0.0000 0.0000
0.0000 0.0000 0.5000
0.0000 0.5000 0.0000
0.5000 0.0000 0.5000
0.1250 0.8750 0.2500
0.8750 0.1250 0.7500
```

Most intense lines, 2θ = 10–90°, sorted by position:
2theta  Rel. int.
16.4  100
21.9  55
24.4  74
30.2  25
33.2  75
35.8  32
37.9  23
38.4  22
38.7  24
41.6  28
44.7  33
50.1  66

Simulated powder XRD pattern of Cs8Pt2I3 for Cu Ka, from a crystal structure in Alexandria, relaxed with PBE.

```
Cs8Pt2I3
1.0
9.7540 -4.9551 0.0000
9.7540 4.9551 0.0000
-3.2136 0.0000 8.5192
Cs Pt I
8 2 3
direct
0.1105 0.1105 0.3149
0.1223 0.5950 0.0850
0.3650 0.3650 0.5266
0.4050 0.8777 0.9150
0.5950 0.1223 0.0850
0.6350 0.6350 0.4734
0.8777 0.4050 0.9150
0.8895 0.8895 0.6851
0.2412 0.2412 0.1525
0.7588 0.7588 0.8475
0.2297 0.7703 0.5000
0.5000 0.5000 0.0000
0.7703 0.2297 0.5000
```

Most intense lines, 2θ = 10–90°, sorted by position:
2theta  Rel. int.
11.4  29
13.3  41
15.7  59
17.1  33
21.3  72
24.8  41
25.9  100
26.0  38
29.4  58
31.1  100
34.7  84
36.3  49

Simulated powder XRD pattern of CsRb2PtI6 for Cu Ka, from a crystal structure in Alexandria, relaxed with PBE.

```
CsRb2PtI6
1.0
-4.4031 4.4031 6.5588
4.4031 -4.4031 6.5588
4.4031 4.4031 -6.5588
Cs Rb Pt I
1 2 1 6
direct
0.0000 0.0000 0.0000
0.2500 0.7500 0.5000
0.7500 0.2500 0.5000
0.5000 0.5000 0.0000
0.2735 0.2735 0.0000
0.2850 0.2850 0.5700
0.2850 0.7150 0.0000
0.7150 0.2850 0.0000
0.7150 0.7150 0.4300
0.7265 0.7265 0.0000
```

Most intense lines, 2θ = 10–90°, sorted by position:
2theta  Rel. int.
12.1  47
13.5  37
14.2  70
19.7  29
24.3  69
27.2  62
28.7  100
37.5  21
39.9  75
41.0  32
49.9  33
51.1  20

Simulated powder XRD pattern of CsZnPtI2 for Cu Ka, from a crystal structure in Alexandria, relaxed with PBE.

```
CsZnPtI2
1.0
5.8682 0.0000 0.0000
0.0000 5.8682 0.0000
0.0000 0.0000 4.9433
Cs Zn Pt I
1 1 1 2
direct
0.0000 0.0000 0.0000
0.5000 0.5000 0.5000
0.5000 0.5000 0.0000
0.0000 0.5000 0.5000
0.5000 0.0000 0.5000
```

Most intense lines, 2θ = 10–90°, sorted by position:
2theta  Rel. int.
15.1  15
28.1  100
30.5  67
36.3  21
43.6  25
48.1  37
52.7  35
58.0  21
60.4  12
72.0  11
77.5  12
83.4  15

Simulated powder XRD pattern of Cs3PuI8 for Cu Ka, from a crystal structure in Alexandria, relaxed with PBE.

```
Cs3PuI8
1.0
-4.3581 4.3581 8.5689
4.3581 -4.3581 8.5689
4.3581 4.3581 -8.5689
Cs Pu I
3 1 8
direct
0.0000 0.0000 0.0000
0.2500 0.7500 0.5000
0.7500 0.2500 0.5000
0.5000 0.5000 0.0000
0.1762 0.1762 0.5703
0.1762 0.6059 0.0000
0.3941 0.3941 0.5703
0.3941 0.8238 0.0000
0.6059 0.1762 0.0000
0.6059 0.6059 0.4297
0.8238 0.3941 0.0000
0.8238 0.8238 0.4297
```

Most intense lines, 2θ = 10–90°, sorted by position:
2theta  Rel. int.
10.3  12
11.4  31
17.7  63
29.0  50
29.2  100
34.2  22
34.6  15
37.6  23
41.4  14
45.7  13
51.5  26
52.0  13

Simulated powder XRD pattern of Cs3Pu2I8 for Cu Ka, from a crystal structure in Alexandria, relaxed with PBE.

```
Cs3Pu2I8
1.0
4.5467 2.6250 10.9195
-4.5467 2.6250 10.9195
0.0000 -5.2500 10.9195
Cs Pu I
3 2 8
direct
0.0000 0.0000 0.0000
0.1989 0.1989 0.1989
0.8011 0.8011 0.8011
0.4045 0.4045 0.4045
0.5955 0.5955 0.5955
0.2052 0.7429 0.7429
0.2571 0.2571 0.7948
0.2571 0.7948 0.2571
0.3128 0.3128 0.3128
0.6872 0.6872 0.6872
0.7429 0.2052 0.7429
0.7429 0.7429 0.2052
0.7948 0.2571 0.2571
```

Most intense lines, 2θ = 10–90°, sorted by position:
2theta  Rel. int.
15.6  35
17.6  27
19.5  100
23.2  57
26.4  70
29.5  66
35.7  34
37.9  34
39.6  71
41.0  36
50.2  29
58.3  27

Simulated powder XRD pattern of CsPu4I8 for Cu Ka, from a crystal structure in Alexandria, relaxed with PBE.

```
CsPu4I8
1.0
8.4104 0.0000 0.0000
-4.2052 7.2836 0.0000
0.0000 0.0000 20.1241
Cs Pu I
2 8 16
direct
0.0000 0.0000 0.0000
0.0000 0.0000 0.5000
0.0000 0.0000 0.2500
0.0000 0.0000 0.7500
0.0197 0.5099 0.2500
0.4901 0.5099 0.2500
0.4901 0.9803 0.2500
0.5099 0.0197 0.7500
0.5099 0.4901 0.7500
0.9803 0.4901 0.7500
0.1694 0.3387 0.6484
0.1694 0.3387 0.8516
0.1694 0.8306 0.6484
0.1694 0.8306 0.8516
0.3333 0.6667 0.1398
0.3333 0.6667 0.3602
0.3387 0.1694 0.1484
0.3387 0.1694 0.3516
0.6613 0.8306 0.6484
0.6613 0.8306 0.8516
0.6667 0.3333 0.6398
0.6667 0.3333 0.8602
0.8306 0.1694 0.1484
0.8306 0.1694 0.3516
0.8306 0.6613 0.1484
0.8306 0.6613 0.3516
```

Most intense lines, 2θ = 10–90°, sorted by position:
2theta  Rel. int.
24.8  36
26.0  29
30.3  100
33.2  26
35.7  12
36.4  37
43.0  36
44.0  18
53.5  20
57.1  17
64.0  16
71.0  16

Simulated powder XRD pattern of CsPu4I8 for Cu Ka, from a crystal structure in Alexandria, relaxed with PBE.

```
CsPu4I8
1.0
0.0000 6.8007 6.8007
6.8007 0.0000 6.8007
6.8007 6.8007 0.0000
Cs Pu I
1 4 8
direct
0.0000 0.0000 0.0000
0.3835 0.3835 0.3835
0.3835 0.3835 0.8495
0.3835 0.8495 0.3835
0.8495 0.3835 0.3835
0.1437 0.6188 0.6188
0.1463 0.1463 0.1463
0.1463 0.1463 0.5612
0.1463 0.5612 0.1463
0.5612 0.1463 0.1463
0.6188 0.1437 0.6188
0.6188 0.6188 0.1437
0.6188 0.6188 0.6188
```

Most intense lines, 2θ = 10–90°, sorted by position:
2theta  Rel. int.
11.3  78
21.7  56
26.2  100
34.3  54
37.4  96
39.2  20
46.2  24
47.8  17
51.6  16
60.9  25
67.5  25
71.8  20

Simulated powder XRD pattern of CsPu3I9 for Cu Ka, from a crystal structure in Alexandria, relaxed with PBE.

```
CsPu3I9
1.0
11.7767 0.0000 0.0000
-5.8884 10.1989 0.0000
0.0000 0.0000 6.1930
Cs Pu I
1 3 9
direct
0.0000 0.0000 0.0000
0.0000 0.5000 0.5000
0.5000 0.0000 0.5000
0.5000 0.5000 0.5000
0.0000 0.5000 0.0000
0.1968 0.3936 0.5000
0.1968 0.8032 0.5000
0.3936 0.1968 0.5000
0.5000 0.0000 0.0000
0.5000 0.5000 0.0000
0.6064 0.8032 0.5000
0.8032 0.1968 0.5000
0.8032 0.6064 0.5000
```

Most intense lines, 2θ = 10–90°, sorted by position:
2theta  Rel. int.
14.3  61
15.0  30
17.4  100
20.8  30
28.8  51
30.4  97
33.9  40
35.2  28
42.4  78
46.1  27
56.2  27
73.6  26

Simulated powder XRD pattern of Cs3Pu4I12 for Cu Ka, from a crystal structure in Alexandria, relaxed with PBE.

```
Cs3Pu4I12
1.0
-6.2687 6.2687 6.2687
6.2687 -6.2687 6.2687
6.2687 6.2687 -6.2687
Cs Pu I
3 4 12
direct
0.0000 0.5000 0.5000
0.5000 0.0000 0.5000
0.5000 0.5000 0.0000
0.0000 0.0000 0.5000
0.0000 0.5000 0.0000
0.5000 0.0000 0.0000
0.5000 0.5000 0.5000
0.0529 0.7724 0.2804
0.2276 0.2804 0.5080
0.2276 0.7196 0.9471
0.2804 0.0529 0.7724
0.2804 0.5080 0.2276
0.4920 0.7724 0.7196
0.5080 0.2276 0.2804
0.7196 0.4920 0.7724
0.7196 0.9471 0.2276
0.7724 0.2804 0.0529
0.7724 0.7196 0.4920
0.9471 0.2276 0.7196
```

Most intense lines, 2θ = 10–90°, sorted by position:
2theta  Rel. int.
14.1  73
20.0  45
24.6  19
28.5  100
31.9  43
35.1  36
40.7  65
43.3  20
50.4  20
54.8  20
62.9  18
66.7  20

Simulated powder XRD pattern of Cs3Pu2I8 for Cu Ka, from a crystal structure in Alexandria, relaxed with PBE.

```
Cs3Pu2I8
1.0
9.0384 0.0000 0.0000
-3.7752 8.6624 0.0000
-4.0031 -2.9612 9.9715
Cs Pu I
3 2 8
direct
0.0000 0.0000 0.0000
0.3909 0.1389 0.6251
0.6091 0.8611 0.3749
0.1907 0.5530 0.7145
0.8093 0.4470 0.2855
0.0534 0.2001 0.7278
0.1209 0.3749 0.4173
0.2713 0.7182 0.9957
0.4710 0.1972 0.2998
0.5290 0.8028 0.7002
0.7287 0.2818 0.0043
0.8791 0.6251 0.5827
0.9466 0.7999 0.2722
```

Most intense lines, 2θ = 10–90°, sorted by position:
2theta  Rel. int.
11.3  59
13.3  46
17.5  100
17.7  62
19.0  66
26.6  64
26.8  89
27.2  81
32.4  87
35.5  47
41.9  46
44.1  58

Please write out number 4 again, unchanged.
Simulated powder XRD pattern of CsRb2PtI6 for Cu Ka, from a crystal structure in Alexandria, relaxed with PBE.

```
CsRb2PtI6
1.0
-4.4031 4.4031 6.5588
4.4031 -4.4031 6.5588
4.4031 4.4031 -6.5588
Cs Rb Pt I
1 2 1 6
direct
0.0000 0.0000 0.0000
0.2500 0.7500 0.5000
0.7500 0.2500 0.5000
0.5000 0.5000 0.0000
0.2735 0.2735 0.0000
0.2850 0.2850 0.5700
0.2850 0.7150 0.0000
0.7150 0.2850 0.0000
0.7150 0.7150 0.4300
0.7265 0.7265 0.0000
```

Most intense lines, 2θ = 10–90°, sorted by position:
2theta  Rel. int.
12.1  47
13.5  37
14.2  70
19.7  29
24.3  69
27.2  62
28.7  100
37.5  21
39.9  75
41.0  32
49.9  33
51.1  20